Starting from a crystal structure in the Materials Project, relaxed with PBE, the PXRD pattern of K3PO3F2 was computed for Cu Kα, 1.54184 Å.
Lines closer than 0.1° are merged.

Top 8 peaks for 5 to 70 degrees two-theta, in order of falling intensity:
2theta  I_rel
28.9  100
36.5  41
36.1  33
32.1  27
33.8  26
34.6  19
47.3  16
47.9  15

Cell and atoms:
Cell: 10.606 11.165 10.367 Å, 90.00 90.00 90.00°
Space group Fmm2 (No. 42)
One atom of each set of equivalent atoms:
K 0.000 0.000 0.000 x4
K 0.000 0.000 0.381 x4
K 0.199 0.000 0.683 x8
K 0.250 0.250 0.440 x8
P 0.000 0.243 0.176 x8
O 0.000 0.164 0.569 x8
O 0.120 0.170 0.191 x16
F 0.000 0.169 0.809 x8
F 0.243 0.000 0.936 x8